Record 1
Starting from DFT lattice parameters and positions (PBE), the XRD peak list of Ho3Fe4Ge4 was calculated for Cu Kα (λ = 1.5418 Å).
Kinematic intensities with the Lorentz-polarization factor, no thermal factor.

Atomic structure:
```
data_Ho3Fe4Ge4
_chemical_formula_sum 'Ho6 Fe8 Ge8'
_cell_length_a 4.193
_cell_length_b 6.717
_cell_length_c 13.530
_cell_angle_alpha 90.00
_cell_angle_beta 90.00
_cell_angle_gamma 90.00
_symmetry_space_group_name_H-M 'I m m m'
_symmetry_Int_Tables_number 71
_symmetry_space_group_name_Hall '-I 2 2'
loop_
_atom_site_label
_atom_site_type_symbol
_atom_site_fract_x
_atom_site_fract_y
_atom_site_fract_z
Ho1 Ho 0.000 0.000 0.000
Ho2 Ho 0.000 0.500 0.129
Fe1 Fe 0.000 0.319 0.325
Ge1 Ge 0.000 0.000 0.221
Ge2 Ge 0.000 0.196 0.500
```

Top 10 peaks for 15 to 90 degrees two-theta, low angle first:
h k l  d (Å)  2θ/deg  I_rel
0 2 0  3.359  26.5  17
1 2 1  2.573  34.9  90
0 1 5  2.510  35.8  30
1 1 4  2.451  36.7  100
2 0 0  2.096  43.2  36
0 3 3  2.005  45.2  28
2 1 5  1.609  57.3  15
2 3 3  1.449  64.3  19
3 2 1  1.284  73.8  15
1 5 4  1.197  80.2  14

Record 2
Starting from DFT lattice parameters and positions (PBE), the XRD peak list of SrSnO3 was calculated for Cu Kα (λ = 1.5418 Å).
Kinematic intensities with the Lorentz-polarization factor, no thermal factor.

Atomic structure:
```
data_SrSnO3
_chemical_formula_sum 'Sr4 Sn4 O12'
_cell_length_a 5.792
_cell_length_b 8.158
_cell_length_c 5.837
_cell_angle_alpha 90.00
_cell_angle_beta 90.00
_cell_angle_gamma 90.00
_symmetry_space_group_name_H-M 'I m m a'
_symmetry_Int_Tables_number 74
_symmetry_space_group_name_Hall '-I 2b 2'
loop_
_atom_site_label
_atom_site_type_symbol
_atom_site_fract_x
_atom_site_fract_y
_atom_site_fract_z
Sr1 Sr 0.000 0.250 0.010
Sn1 Sn 0.000 0.000 0.500
O1 O 0.000 0.250 0.580
O2 O 0.250 0.045 0.250
```

Top 10 peaks for 15 to 90 degrees two-theta, low angle first:
h k l  d (Å)  2θ/deg  I_rel
0 0 2  2.919  30.6  18
1 2 1  2.896  30.9  100
2 0 2  2.056  44.1  25
0 4 0  2.040  44.4  11
1 2 3  1.681  54.6  19
0 4 2  1.672  54.9  25
2 4 0  1.667  55.1  9
4 0 0  1.448  64.3  18
3 2 3  1.299  72.8  8
1 6 3  1.094  89.6  15